Record 1
The following is a theoretical X-ray diffraction stick pattern of RbPbCl3. It was derived from a DFT-relaxed cell (PBE, the Materials Project), using Cu Kα (weighted mean of Kα1 and Kα2).

Most intense lines, 10 to 90 degrees two-theta, by angle:
| h k l | Position (°2θ) | Rel. int. |
| --- | --- | --- |
| 0 2 0 | 12.2 | 385 |
| 0 2 2 | 20.6 | 1000 |
| 1 1 0 | 21.4 | 449 |
| 1 3 0 | 27.7 | 597 |
| 1 3 2 | 32.4 | 545 |
| 0 6 2 | 41.1 | 631 |

Atomic structure:
Unit cell a=4.3343 b=14.4554 c=10.7537 alpha=90.00 beta=90.00 gamma=90.00
Space group Cmcm (No. 63)
Unique sites:
Rb1 0.0000 0.2478 0.2500 x4
Pb1 0.0000 0.5000 0.0000 x4
Cl1 0.0000 0.1325 0.5561 x8
Cl2 0.0000 0.4251 0.7500 x4

=====

Record 2
The following is a theoretical X-ray diffraction stick pattern of RbPbCl3. It was derived from a DFT-relaxed cell (PBE, the Materials Project), using Cu Kα (weighted mean of Kα1 and Kα2).

Most intense lines, 10 to 90 degrees two-theta, by angle:
| h k l | Position (°2θ) | Rel. int. |
| --- | --- | --- |
| 0 0 1 | 15.5 | 413 |
| 1 1 1 | 22.0 | 1000 |
| 2 2 0 | 31.3 | 526 |
| 1 1 -2 | 35.1 | 233 |
| 3 1 -1 | 38.6 | 495 |
| 0 4 0 | 44.8 | 376 |

Atomic structure:
Unit cell a=8.0801 b=8.0905 c=5.7139 alpha=90.00 beta=90.13 gamma=90.00
Space group Cm (No. 8)
Unique sites:
Rb1 0.0000 0.0000 0.0000 x2
Pb1 0.0011 0.5000 0.4869 x2
Cl1 0.0131 0.5000 0.9860 x2
Cl2 0.2505 0.2491 0.4846 x4

=====

Record 3
The following is a theoretical X-ray diffraction stick pattern of TlPbCl3. It was derived from a DFT-relaxed cell (PBE, the Materials Project), using Cu Kα (weighted mean of Kα1 and Kα2).

Most intense lines, 10 to 90 degrees two-theta, by angle:
| h k l | Position (°2θ) | Rel. int. |
| --- | --- | --- |
| 0 2 4 | 23.1 | 719 |
| 0 4 2 | 23.4 | 663 |
| 3 1 3 | 23.5 | 959 |
| 3 3 1 | 23.7 | 1000 |
| 4 2 4 | 32.5 | 449 |
| 4 4 2 | 32.7 | 408 |

Atomic structure:
Unit cell a=15.7500 b=16.9617 c=17.2678 alpha=90.00 beta=90.00 gamma=90.00
Space group Fmm2 (No. 42)
Unique sites:
Tl1 0.0000 0.2493 0.0000 x8
Tl2 0.1852 0.0000 0.4061 x8
Tl3 0.1878 0.1618 0.7475 x16
Pb1 0.0000 0.0000 0.5970 x4
Pb2 0.0000 0.0000 0.8809 x4
Pb3 0.0000 0.1482 0.2563 x8
Pb4 0.1735 0.0000 0.0808 x8
Pb5 0.2500 0.2500 0.4994 x8
Cl1 0.0000 0.0000 0.0600 x4
Cl2 0.0000 0.0000 0.4332 x4
Cl3 0.0000 0.1913 0.7406 x8
Cl4 0.1105 0.0000 0.7461 x8
Cl5 0.1262 0.0000 0.2363 x8
Cl6 0.1365 0.1839 0.3673 x16
Cl7 0.1393 0.1119 0.9340 x16
Cl8 0.1395 0.1743 0.1261 x16
Cl9 0.1490 0.1118 0.5660 x16

=====

Record 4
The following is a theoretical X-ray diffraction stick pattern of TlPb2Cl5. It was derived from a DFT-relaxed cell (PBE, the Materials Project), using Cu Kα (weighted mean of Kα1 and Kα2).

Most intense lines, 10 to 90 degrees two-theta, by angle:
| h k l | Position (°2θ) | Rel. int. |
| --- | --- | --- |
| 0 2 0 | 22.0 | 275 |
| 0 1 3 | 23.6 | 1000 |
| 2 0 2 | 24.1 | 288 |
| 2 2 2 | 32.8 | 339 |
| 2 1 5 | 42.1 | 212 |
| 4 1 -3 | 46.9 | 195 |

Atomic structure:
Unit cell a=9.0434 b=8.0924 c=12.7830 alpha=90.00 beta=90.05 gamma=90.00
Space group P2_1/c (No. 14)
Unique sites:
Tl1 0.0125 0.0465 0.1684 x4
Pb1 0.2475 0.5619 0.0046 x4
Pb2 0.4923 0.5038 0.3246 x4
Cl1 0.0367 0.1738 0.4173 x4
Cl2 0.2716 0.6846 0.7819 x4
Cl3 0.2767 0.1533 0.6872 x4
Cl4 0.2834 0.5451 0.5019 x4
Cl5 0.4602 0.1647 0.4000 x4